# 1
Calculated powder X-ray diffraction pattern of Bi5TePt3 for a wavelength of 1.5418 Å, from a crystal structure in Alexandria, relaxed with GGA-PBE.
Intensities are scaled so that the largest is 100.

Crystal structure
Cell: 7.518 7.518 10.241 Å, 105.06 105.06 74.11°
Atoms (fractional coordinates):
1 Bi 0.064 0.064 0.378
2 Bi 0.108 0.512 0.377
3 Bi 0.194 0.806 0.000
4 Bi 0.258 0.258 0.965
5 Bi 0.488 0.892 0.623
6 Bi 0.512 0.108 0.377
7 Bi 0.742 0.742 0.035
8 Bi 0.806 0.194 0.000
9 Bi 0.892 0.488 0.623
10 Bi 0.936 0.936 0.622
11 Te 0.416 0.416 0.717
12 Te 0.584 0.584 0.283
13 Pt 0.164 0.164 0.178
14 Pt 0.175 0.175 0.679
15 Pt 0.500 0.500 0.000
16 Pt 0.500 0.500 0.500
17 Pt 0.825 0.825 0.321
18 Pt 0.836 0.836 0.822

Largest 10 diffraction maxima, most intense first, 15 to 90 degrees two-theta:
| 2θ/deg | I (rel.) |
| --- | --- |
| 28.55 | 100 |
| 41.82 | 50 |
| 19.86 | 46 |
| 19.60 | 45 |
| 46.70 | 45 |
| 36.71 | 42 |
| 38.13 | 39 |
| 27.64 | 38 |
| 29.80 | 37 |
| 39.80 | 36 |

***

# 2
Calculated powder X-ray diffraction pattern of AcPmNdY2 for a wavelength of 1.5418 Å, from a crystal structure in Alexandria, relaxed with GGA-PBE.
Intensities are scaled so that the largest is 100.

Crystal structure
Cell: 9.369 9.369 6.512 Å, 90.00 90.00 138.52°
Atoms (fractional coordinates):
1 Ac 0.158 0.842 0.750
2 Ac 0.842 0.158 0.250
3 Pm 0.280 0.720 0.250
4 Pm 0.720 0.280 0.750
5 Nd 0.347 0.653 0.750
6 Nd 0.653 0.347 0.250
7 Y 0.257 0.257 0.000
8 Y 0.257 0.257 0.500
9 Y 0.743 0.743 0.000
10 Y 0.743 0.743 0.500

Largest 10 diffraction maxima, most intense first, 15 to 90 degrees two-theta:
| 2θ/deg | I (rel.) |
| --- | --- |
| 31.98 | 100 |
| 38.75 | 68 |
| 28.77 | 68 |
| 29.26 | 63 |
| 24.48 | 50 |
| 19.76 | 38 |
| 50.80 | 33 |
| 50.17 | 30 |
| 30.61 | 28 |
| 51.39 | 27 |

***

# 3
Calculated powder X-ray diffraction pattern of Re2Os5 for a wavelength of 1.5418 Å, from a crystal structure in Alexandria, relaxed with GGA-PBE.
Intensities are scaled so that the largest is 100.

Crystal structure
Cell: 4.333 17.239 2.758 Å, 90.00 90.00 90.00°
Atoms (fractional coordinates):
1 Re 0.000 0.071 0.000
2 Re 0.000 0.929 0.000
3 Re 0.500 0.429 0.000
4 Re 0.500 0.571 0.000
5 Os 0.000 0.205 0.500
6 Os 0.000 0.345 0.000
7 Os 0.000 0.500 0.500
8 Os 0.000 0.655 0.000
9 Os 0.000 0.795 0.500
10 Os 0.500 0.000 0.500
11 Os 0.500 0.155 0.000
12 Os 0.500 0.295 0.500
13 Os 0.500 0.705 0.500
14 Os 0.500 0.845 0.000

Largest 10 diffraction maxima, most intense first, 15 to 90 degrees two-theta:
| 2θ/deg | I (rel.) |
| --- | --- |
| 41.89 | 100 |
| 42.21 | 85 |
| 41.69 | 50 |
| 38.76 | 36 |
| 83.35 | 25 |
| 58.23 | 22 |
| 47.12 | 18 |
| 79.01 | 18 |
| 76.24 | 17 |
| 63.65 | 16 |

***

# 4
Calculated powder X-ray diffraction pattern of K3AuF8 for a wavelength of 1.5418 Å, from a crystal structure in Alexandria, relaxed with GGA-PBE.
Intensities are scaled so that the largest is 100.

Crystal structure
Cell: 8.087 8.087 7.317 Å, 90.00 90.00 120.00°
Atoms (fractional coordinates):
1 K 0.156 0.312 0.000
2 K 0.156 0.844 0.000
3 K 0.312 0.156 0.500
4 K 0.688 0.844 0.000
5 K 0.844 0.156 0.500
6 K 0.844 0.688 0.500
7 Au 0.333 0.667 0.479
8 Au 0.667 0.333 0.979
9 F 0.000 0.000 0.258
10 F 0.000 0.000 0.758
11 F 0.098 0.549 0.332
12 F 0.213 0.426 0.621
13 F 0.213 0.787 0.621
14 F 0.333 0.667 0.980
15 F 0.426 0.213 0.121
16 F 0.451 0.549 0.332
17 F 0.451 0.902 0.332
18 F 0.549 0.098 0.832
19 F 0.549 0.451 0.832
20 F 0.574 0.787 0.621
21 F 0.667 0.333 0.480
22 F 0.787 0.213 0.121
23 F 0.787 0.574 0.121
24 F 0.902 0.451 0.832

Largest 10 diffraction maxima, most intense first, 15 to 90 degrees two-theta:
| 2θ/deg | I (rel.) |
| --- | --- |
| 17.53 | 100 |
| 28.25 | 77 |
| 21.98 | 44 |
| 35.49 | 32 |
| 45.31 | 28 |
| 24.33 | 28 |
| 44.83 | 26 |
| 33.02 | 24 |
| 51.66 | 24 |
| 42.14 | 17 |

***

# 5
Calculated powder X-ray diffraction pattern of MgH6Pd7 for a wavelength of 1.5418 Å, from a crystal structure in Alexandria, relaxed with GGA-PBE.
Intensities are scaled so that the largest is 100.

Crystal structure
Cell: 5.017 5.017 7.454 Å, 109.42 90.06 119.75°
Atoms (fractional coordinates):
1 Mg 0.000 0.000 0.000
2 H 0.070 0.798 0.216
3 H 0.275 0.861 0.782
4 H 0.425 0.490 0.212
5 H 0.583 0.505 0.785
6 H 0.727 0.152 0.213
7 H 0.918 0.200 0.784
8 Pd 0.116 0.551 0.327
9 Pd 0.216 0.113 0.670
10 Pd 0.436 0.215 0.329
11 Pd 0.558 0.777 0.671
12 Pd 0.665 0.334 0.999
13 Pd 0.778 0.894 0.328
14 Pd 0.894 0.455 0.670

Largest 10 diffraction maxima, most intense first, 15 to 90 degrees two-theta:
| 2θ/deg | I (rel.) |
| --- | --- |
| 38.14 | 100 |
| 39.26 | 30 |
| 44.72 | 23 |
| 44.46 | 22 |
| 44.82 | 21 |
| 64.15 | 14 |
| 25.89 | 8 |
| 77.38 | 8 |
| 65.80 | 8 |
| 78.01 | 8 |

***

# 6
Calculated powder X-ray diffraction pattern of DyNpF6 for a wavelength of 1.5418 Å, from a crystal structure in Alexandria, relaxed with GGA-PBE.
Intensities are scaled so that the largest is 100.

Crystal structure
Cell: 5.435 5.435 8.047 Å, 90.00 90.00 90.00°
Atoms (fractional coordinates):
1 Dy 0.000 0.000 0.250
2 Dy 0.000 0.000 0.750
3 Np 0.500 0.500 0.000
4 Np 0.500 0.500 0.500
5 F 0.156 0.806 0.000
6 F 0.194 0.156 0.500
7 F 0.238 0.689 0.317
8 F 0.238 0.689 0.683
9 F 0.311 0.238 0.183
10 F 0.311 0.238 0.817
11 F 0.689 0.762 0.183
12 F 0.689 0.762 0.817
13 F 0.762 0.311 0.317
14 F 0.762 0.311 0.683
15 F 0.806 0.844 0.500
16 F 0.844 0.194 0.000

Largest 10 diffraction maxima, most intense first, 15 to 90 degrees two-theta:
| 2θ/deg | I (rel.) |
| --- | --- |
| 27.58 | 100 |
| 23.14 | 91 |
| 43.50 | 76 |
| 51.26 | 22 |
| 32.96 | 21 |
| 55.64 | 21 |
| 53.30 | 18 |
| 47.30 | 18 |
| 66.20 | 17 |
| 56.95 | 15 |

***

# 7
Calculated powder X-ray diffraction pattern of DyErCoPd for a wavelength of 1.5418 Å, from a crystal structure in Alexandria, relaxed with GGA-PBE.
Intensities are scaled so that the largest is 100.

Crystal structure
Cell: 3.387 3.387 6.873 Å, 90.00 90.00 90.00°
Atoms (fractional coordinates):
1 Dy 0.000 0.000 0.000
2 Er 0.000 0.000 0.526
3 Co 0.500 0.500 0.761
4 Pd 0.500 0.500 0.268

Largest 10 diffraction maxima, most intense first, 15 to 90 degrees two-theta:
| 2θ/deg | I (rel.) |
| --- | --- |
| 37.28 | 100 |
| 37.56 | 50 |
| 67.60 | 34 |
| 54.17 | 17 |
| 67.04 | 17 |
| 26.32 | 12 |
| 79.47 | 10 |
| 53.32 | 8 |
| 25.93 | 6 |
| 80.16 | 5 |

***

# 8
Calculated powder X-ray diffraction pattern of AcZn5Cd7 for a wavelength of 1.5418 Å, from a crystal structure in Alexandria, relaxed with GGA-PBE.
Intensities are scaled so that the largest is 100.

Crystal structure
Cell: 7.432 7.432 7.432 Å, 134.72 98.88 98.16°
Atoms (fractional coordinates):
1 Ac 0.000 0.000 0.000
2 Zn 0.512 0.006 0.010
3 Zn 0.512 0.502 0.506
4 Zn 0.780 0.280 0.500
5 Zn 0.996 0.006 0.494
6 Zn 0.996 0.502 0.990
7 Cd 0.217 0.502 0.715
8 Cd 0.226 0.726 0.500
9 Cd 0.351 0.351 0.000
10 Cd 0.356 0.006 0.350
11 Cd 0.652 0.652 0.000
12 Cd 0.655 0.006 0.650
13 Cd 0.787 0.502 0.285

Largest 10 diffraction maxima, most intense first, 15 to 90 degrees two-theta:
| 2θ/deg | I (rel.) |
| --- | --- |
| 36.92 | 100 |
| 36.46 | 43 |
| 31.88 | 26 |
| 31.27 | 23 |
| 41.09 | 23 |
| 59.41 | 20 |
| 66.59 | 19 |
| 31.70 | 19 |
| 37.21 | 17 |
| 25.79 | 13 |

***

# 9
Calculated powder X-ray diffraction pattern of SbAsAuF9 for a wavelength of 1.5418 Å, from a crystal structure in Alexandria, relaxed with GGA-PBE.
Intensities are scaled so that the largest is 100.

Crystal structure
Cell: 8.317 9.370 13.116 Å, 90.00 122.52 90.00°
Atoms (fractional coordinates):
1 Sb 0.160 0.180 0.420
2 Sb 0.160 0.320 0.920
3 Sb 0.840 0.680 0.080
4 Sb 0.840 0.820 0.580
5 As 0.360 0.641 0.611
6 As 0.360 0.859 0.111
7 As 0.640 0.141 0.889
8 As 0.640 0.359 0.389
9 Au 0.123 0.711 0.418
10 Au 0.123 0.789 0.918
11 Au 0.877 0.211 0.082
12 Au 0.877 0.289 0.582
13 F 0.113 0.677 0.162
14 F 0.113 0.823 0.662
15 F 0.119 0.247 0.263
16 F 0.119 0.253 0.763
17 F 0.156 0.124 0.961
18 F 0.156 0.376 0.461
19 F 0.156 0.511 0.867
20 F 0.156 0.989 0.367
21 F 0.189 0.116 0.567
22 F 0.189 0.384 0.067
23 F 0.298 0.542 0.695
24 F 0.298 0.958 0.195
25 F 0.427 0.193 0.486
26 F 0.427 0.307 0.986
27 F 0.458 0.033 0.871
28 F 0.458 0.467 0.371
29 F 0.495 0.730 0.216
30 F 0.495 0.770 0.716
31 F 0.505 0.230 0.284
32 F 0.505 0.270 0.784
33 F 0.542 0.533 0.629
34 F 0.542 0.967 0.129
35 F 0.573 0.693 0.014
36 F 0.573 0.807 0.514
37 F 0.702 0.042 0.805
38 F 0.702 0.458 0.305
39 F 0.811 0.616 0.933
40 F 0.811 0.884 0.433
41 F 0.844 0.011 0.633
42 F 0.844 0.489 0.133
43 F 0.844 0.624 0.539
44 F 0.844 0.876 0.039
45 F 0.881 0.747 0.237
46 F 0.881 0.753 0.737
47 F 0.887 0.177 0.338
48 F 0.887 0.323 0.838

Largest 10 diffraction maxima, most intense first, 15 to 90 degrees two-theta:
| 2θ/deg | I (rel.) |
| --- | --- |
| 21.51 | 100 |
| 21.81 | 99 |
| 18.94 | 72 |
| 28.81 | 38 |
| 16.03 | 38 |
| 22.83 | 30 |
| 27.59 | 29 |
| 16.99 | 29 |
| 25.32 | 28 |
| 33.69 | 28 |

***

# 10
Calculated powder X-ray diffraction pattern of Ti3Tl2Br10 for a wavelength of 1.5418 Å, from a crystal structure in Alexandria, relaxed with GGA-PBE.
Intensities are scaled so that the largest is 100.

Crystal structure
Cell: 13.040 13.040 10.409 Å, 110.59 110.59 33.56°
Atoms (fractional coordinates):
1 Ti 0.075 0.075 0.478
2 Ti 0.177 0.177 0.027
3 Ti 0.240 0.760 0.000
4 Ti 0.760 0.240 0.000
5 Ti 0.823 0.823 0.973
6 Ti 0.925 0.925 0.522
7 Tl 0.249 0.249 0.669
8 Tl 0.363 0.363 0.273
9 Tl 0.637 0.637 0.727
10 Tl 0.751 0.751 0.331
11 Br 0.000 0.500 0.000
12 Br 0.018 0.018 0.197
13 Br 0.106 0.613 0.537
14 Br 0.130 0.130 0.752
15 Br 0.139 0.640 0.959
16 Br 0.233 0.233 0.284
17 Br 0.234 0.766 0.500
18 Br 0.360 0.861 0.041
19 Br 0.387 0.894 0.463
20 Br 0.483 0.483 0.822
21 Br 0.500 0.000 0.000
22 Br 0.517 0.517 0.178
23 Br 0.613 0.106 0.537
24 Br 0.640 0.139 0.959
25 Br 0.766 0.234 0.500
26 Br 0.767 0.767 0.716
27 Br 0.861 0.360 0.041
28 Br 0.870 0.870 0.248
29 Br 0.894 0.387 0.463
30 Br 0.982 0.982 0.803

Largest 10 diffraction maxima, most intense first, 15 to 90 degrees two-theta:
| 2θ/deg | I (rel.) |
| --- | --- |
| 30.07 | 100 |
| 32.07 | 87 |
| 28.78 | 56 |
| 31.38 | 48 |
| 30.80 | 47 |
| 48.53 | 40 |
| 21.31 | 32 |
| 27.52 | 29 |
| 38.14 | 27 |
| 48.36 | 25 |

***

# 11
Calculated powder X-ray diffraction pattern of La12Sm7Y for a wavelength of 1.5418 Å, from a crystal structure in Alexandria, relaxed with GGA-PBE.
Intensities are scaled so that the largest is 100.

Crystal structure
Cell: 11.582 11.582 11.582 Å, 116.66 116.66 116.66°
Atoms (fractional coordinates):
1 La 0.000 0.408 0.592
2 La 0.000 0.592 0.408
3 La 0.071 0.071 0.426
4 La 0.071 0.426 0.071
5 La 0.408 0.000 0.592
6 La 0.408 0.592 0.000
7 La 0.426 0.071 0.071
8 La 0.574 0.929 0.929
9 La 0.592 0.000 0.408
10 La 0.592 0.408 0.000
11 La 0.929 0.574 0.929
12 La 0.929 0.929 0.574
13 Sm 0.000 0.000 0.000
14 Sm 0.133 0.384 0.384
15 Sm 0.384 0.133 0.384
16 Sm 0.384 0.384 0.133
17 Sm 0.616 0.616 0.867
18 Sm 0.616 0.867 0.616
19 Sm 0.867 0.616 0.616
20 Y 0.500 0.500 0.500

Largest 10 diffraction maxima, most intense first, 15 to 90 degrees two-theta:
| 2θ/deg | I (rel.) |
| --- | --- |
| 29.65 | 100 |
| 27.14 | 33 |
| 32.76 | 26 |
| 38.46 | 23 |
| 32.35 | 23 |
| 39.53 | 20 |
| 46.75 | 18 |
| 33.70 | 18 |
| 28.25 | 17 |
| 46.04 | 16 |

***

Copy entry 8 word for word.
Calculated powder X-ray diffraction pattern of AcZn5Cd7 for a wavelength of 1.5418 Å, from a crystal structure in Alexandria, relaxed with GGA-PBE.
Intensities are scaled so that the largest is 100.

Crystal structure
Cell: 7.432 7.432 7.432 Å, 134.72 98.88 98.16°
Atoms (fractional coordinates):
1 Ac 0.000 0.000 0.000
2 Zn 0.512 0.006 0.010
3 Zn 0.512 0.502 0.506
4 Zn 0.780 0.280 0.500
5 Zn 0.996 0.006 0.494
6 Zn 0.996 0.502 0.990
7 Cd 0.217 0.502 0.715
8 Cd 0.226 0.726 0.500
9 Cd 0.351 0.351 0.000
10 Cd 0.356 0.006 0.350
11 Cd 0.652 0.652 0.000
12 Cd 0.655 0.006 0.650
13 Cd 0.787 0.502 0.285

Largest 10 diffraction maxima, most intense first, 15 to 90 degrees two-theta:
| 2θ/deg | I (rel.) |
| --- | --- |
| 36.92 | 100 |
| 36.46 | 43 |
| 31.88 | 26 |
| 31.27 | 23 |
| 41.09 | 23 |
| 59.41 | 20 |
| 66.59 | 19 |
| 31.70 | 19 |
| 37.21 | 17 |
| 25.79 | 13 |